ErNp2Tl3Se6: calculated powder XRD pattern (CuKα), based on a DFT-relaxed cell (PBE, Alexandria).

Top 8 peaks for 2θ from 5° to 70°, low angle first:
- (0 0 2), 2θ = 22.88°, I = 14
- (2 0 0), 2θ = 25.65°, I = 27
- (1 3 1), 2θ = 28.93°, I = 100
- (2 0 2), 2θ = 39.62°, I = 38
- (0 6 0), 2θ = 43.07°, I = 36
- (3 3 1), 2θ = 49.32°, I = 12
- (4 0 0), 2θ = 52.71°, I = 19
- (3 3 3), 2θ = 65.43°, I = 14

abc: 7.2773 12.6005 8.1422
angles: 90.00 107.32 90.00
Space group C2/m (No. 12)
Asymmetric unit:
Er (0.0000, 0.0000, 0.0000) x2
Np (0.0000, 0.3335, 0.0000) x4
Tl (0.0000, 0.1677, 0.5000) x4
Tl (0.0000, 0.5000, 0.5000) x2
Se (0.2326, 0.1650, 0.2030) x8
Se (0.2381, 0.5000, 0.2040) x4